(1)
For Ni2Hg2Cl7, a structure optimized by DFT (PBE) gives the computed X-ray powder pattern in this record (Cu Kα (weighted mean of Kα1 and Kα2)).

Top 10 peaks for 10 to 90 degrees two-theta, by angle:
- (0 2 0), 18.3°, I = 35
- (2 0 0), 19.1°, I = 74
- (0 2 2), 23.4°, I = 57
- (1 1 -3), 23.5°, I = 100
- (2 2 0), 26.6°, I = 69
- (1 1 3), 27.4°, I = 25
- (3 1 -1), 29.6°, I = 22
- (2 2 2), 32.5°, I = 54
- (3 1 -3), 33.4°, I = 31
- (5 1 -1), 48.8°, I = 25

Structure:
```
data_Ni2Hg2Cl7
_chemical_formula_sum 'Ni8 Hg8 Cl28'
_space_group_name_H-M_alt 'C 1 2/c 1'
_space_group_IT_number 15
_cell_length_a 9.529
_cell_length_b 9.717
_cell_length_c 12.601
_cell_angle_alpha 90.00
_cell_angle_beta 103.23
_cell_angle_gamma 90.00
loop_
_space_group_symop_operation_xyz
'x,y,z'
'-x,-y,-z'
'-x,y,-z+1/2'
'x,-y,z+1/2'
'x+1/2,y+1/2,z'
'-x+1/2,-y+1/2,-z'
'-x+1/2,y+1/2,-z+1/2'
'x+1/2,-y+1/2,z+1/2'
loop_
_atom_site_label
_atom_site_type_symbol
_atom_site_fract_x
_atom_site_fract_y
_atom_site_fract_z
_atom_site_occupancy
Ni1 Ni 0.150 0.098 0.491 1
Hg1 Hg 0.227 0.253 0.815 1
Cl1 Cl 0.000 0.391 0.750 1
Cl2 Cl 0.073 0.032 0.124 1
Cl3 Cl 0.183 0.280 0.376 1
Cl4 Cl 0.191 0.432 0.055 1
```


(2)
For TlNiHgCl6, a structure optimized by DFT (PBE) gives the computed X-ray powder pattern in this record (Cu Kα (weighted mean of Kα1 and Kα2)).

Top 10 peaks for 10 to 90 degrees two-theta, by angle:
- (1 1 -1), 19.6°, I = 94
- (1 1 1), 20.4°, I = 86
- (0 2 1), 20.7°, I = 100
- (2 0 0), 25.7°, I = 29
- (1 3 0), 27.3°, I = 46
- (2 2 -1), 32.7°, I = 30
- (2 0 -2), 36.2°, I = 35
- (1 3 -2), 37.9°, I = 31
- (1 3 2), 38.8°, I = 56
- (3 3 0), 46.4°, I = 31

Structure:
```
data_TlNiHgCl6
_chemical_formula_sum 'Tl2 Ni2 Hg2 Cl12'
_space_group_name_H-M_alt 'C 1 2 1'
_space_group_IT_number 5
_cell_length_a 6.935
_cell_length_b 11.091
_cell_length_c 6.783
_cell_angle_alpha 90.00
_cell_angle_beta 92.72
_cell_angle_gamma 90.00
loop_
_space_group_symop_operation_xyz
'x,y,z'
'-x,y,-z'
'x+1/2,y+1/2,z'
'-x+1/2,y+1/2,-z'
loop_
_atom_site_label
_atom_site_type_symbol
_atom_site_fract_x
_atom_site_fract_y
_atom_site_fract_z
_atom_site_occupancy
Tl1 Tl 0.000 0.000 0.000 1
Ni1 Ni 0.000 0.335 0.500 1
Hg1 Hg 0.000 0.682 0.500 1
Cl1 Cl 0.128 0.480 0.697 1
Cl2 Cl 0.147 0.196 0.695 1
Cl3 Cl 0.215 0.826 0.717 1
```


(3)
For Hg3Cl5O, a structure optimized by DFT (PBE) gives the computed X-ray powder pattern in this record (Cu Kα (weighted mean of Kα1 and Kα2)).

Top 10 peaks for 10 to 90 degrees two-theta, by angle:
- (2 0 -1), 13.6°, I = 45
- (0 2 0), 17.3°, I = 100
- (2 0 -2), 18.0°, I = 35
- (2 2 -1), 22.1°, I = 25
- (1 1 2), 27.5°, I = 46
- (3 1 -3), 28.5°, I = 35
- (1 1 -3), 28.9°, I = 17
- (4 0 0), 32.6°, I = 20
- (0 4 0), 35.1°, I = 19
- (1 3 2), 37.2°, I = 38

Structure:
```
data_Hg3Cl5O
_chemical_formula_sum 'Hg12 Cl20 O4'
_space_group_name_H-M_alt 'C 1 2/m 1'
_space_group_IT_number 12
_cell_length_a 13.095
_cell_length_b 10.230
_cell_length_c 10.258
_cell_angle_alpha 90.00
_cell_angle_beta 122.93
_cell_angle_gamma 90.00
loop_
_space_group_symop_operation_xyz
'x,y,z'
'-x,-y,-z'
'-x,y,-z'
'x,-y,z'
'x+1/2,y+1/2,z'
'-x+1/2,-y+1/2,-z'
'-x+1/2,y+1/2,-z'
'x+1/2,-y+1/2,z'
loop_
_atom_site_label
_atom_site_type_symbol
_atom_site_fract_x
_atom_site_fract_y
_atom_site_fract_z
_atom_site_occupancy
Hg1 Hg 0.000 0.000 0.000 1
Hg2 Hg 0.000 0.000 0.500 1
Hg3 Hg 0.154 0.500 0.191 1
Hg4 Hg 0.241 0.000 0.392 1
Cl1 Cl 0.000 0.327 0.000 1
Cl2 Cl 0.063 0.500 0.387 1
Cl3 Cl 0.173 0.171 0.639 1
Cl4 Cl 0.201 0.000 0.064 1
O1 O 0.059 0.000 0.230 1
```


Number 3 is which compound? Hg3Cl5O